Theoretical X-ray powder pattern of NiH6C2N2O4 for λ = 1.5418 Å (Cu Kα), from DFT lattice parameters and positions (PBE+U).
Peak positions follow from Bragg's law for the DFT cell and can differ from measured ones.

Crystal structure
Unit cell a=7.5451 b=7.5451 c=8.8897 alpha=124.89 beta=124.89 gamma=53.30
Fractional positions:
Ni: 0.2413 0.7587 0.7500
Ni: 0.7587 0.2413 0.2500
H: 0.1576 0.4301 0.6876
H: 0.3055 0.3078 0.5507
H: 0.3078 0.3055 0.0507
H: 0.3307 0.4462 0.2826
H: 0.4301 0.1576 0.1876
H: 0.4462 0.3307 0.7826
H: 0.5538 0.6693 0.2174
H: 0.5699 0.8424 0.8124
H: 0.6693 0.5538 0.7174
H: 0.6922 0.6945 0.9493
H: 0.6945 0.6922 0.4493
H: 0.8424 0.5699 0.3124
C: 0.0002 0.1168 0.5889
C: 0.9998 0.8832 0.4111
C: 0.1168 0.0002 0.0889
C: 0.8832 0.9998 0.9111
N: 0.3009 0.4193 0.6892
N: 0.4193 0.3009 0.1892
N: 0.5807 0.6991 0.8108
N: 0.6991 0.5807 0.3108
O: 0.1048 0.1146 0.2582
O: 0.1146 0.1048 0.7582
O: 0.1157 0.6954 0.4498
O: 0.3046 0.8843 0.0502
O: 0.6954 0.1157 0.9498
O: 0.8843 0.3046 0.5502
O: 0.8854 0.8952 0.2418
O: 0.8952 0.8854 0.7418

Largest 6 diffraction maxima, in order of falling intensity, 2θ = 10–90°:
2θ 16.46, d 5.384, I = 100; 2θ 17.11, d 5.182, I = 55; 2θ 24.01, d 3.706, I = 50; 2θ 37.89, d 2.374, I = 30; 2θ 15.64, d 5.667, I = 23; 2θ 43.98, d 2.059, I = 18